Record 1
For LiHgF4, a DFT-relaxed cell (GGA-PBE, OQMD) gives the calculated X-ray diffraction stick pattern in this record (copper Kα).
Intensities are scaled so that the largest is 100.

Largest 10 diffraction maxima, sorted by position, 2θ from 10° to 80°:
17.46°, intensity 100.0, (1 0 0)
24.25°, intensity 88.6, (0 1 1)
26.66°, intensity 96.1, (1 1 -1)
30.71°, intensity 32.6, (1 0 -2)
31.81°, intensity 25.8, (0 0 2)
33.11°, intensity 36.2, (1 1 1)
38.43°, intensity 34.0, (2 1 -1)
41.32°, intensity 29.3, (1 2 0)
49.50°, intensity 21.7, (1 1 -3)
52.25°, intensity 28.4, (2 2 0)

Unit cell a=5.393 b=4.842 c=5.976 alpha=90.00 beta=109.69 gamma=90.00
Space group P2_1/c (No. 14)
Asymmetric unit:
Li (0.000, 0.000, 0.000) x2
Hg (0.500, 0.000, 0.500) x2
F (0.133, 0.195, 0.326) x4
F (0.336, 0.655, 0.600) x4

---

Record 2
For Ag13OsO6, a DFT-relaxed cell (GGA-PBE, OQMD) gives the calculated X-ray diffraction stick pattern in this record (copper Kα).
Intensities are scaled so that the largest is 100.

Largest 10 diffraction maxima, sorted by position, 2θ from 10° to 80°:
30.07°, intensity 28.5, (4 2 0)
33.01°, intensity 48.3, (4 2 2)
40.14°, intensity 100.0, (5 3 1)
40.73°, intensity 22.4, (6 0 0)
43.04°, intensity 19.5, (6 2 0)
49.45°, intensity 12.6, (6 4 0)
51.45°, intensity 12.8, (6 4 2)
69.26°, intensity 10.8, (8 4 4)
72.52°, intensity 13.3, (8 6 2)
76.92°, intensity 13.3, (9 5 3)

Unit cell a=13.292 b=13.292 c=13.292 alpha=90.00 beta=90.00 gamma=90.00
Space group Fm-3c (No. 226)
Asymmetric unit:
Ag (0.000, 0.000, 0.000) x8
Ag (0.000, 0.114, 0.178) x96
Os (0.250, 0.250, 0.250) x8
O (0.106, 0.250, 0.250) x48

---

Record 3
For GeB3W4, a DFT-relaxed cell (GGA-PBE, OQMD) gives the calculated X-ray diffraction stick pattern in this record (copper Kα).
Intensities are scaled so that the largest is 100.

Largest 10 diffraction maxima, sorted by position, 2θ from 10° to 80°:
31.26°, intensity 20.1, (0 0 8)
33.52°, intensity 43.1, (1 0 2)
34.68°, intensity 23.3, (1 0 3)
36.25°, intensity 29.4, (1 0 4)
38.19°, intensity 61.9, (1 0 5)
39.36°, intensity 24.1, (0 0 10)
40.44°, intensity 100.0, (1 0 6)
58.12°, intensity 44.2, (1 1 0)
58.93°, intensity 19.2, (1 0 12)
72.46°, intensity 24.6, (1 1 10)

Unit cell a=3.1744 b=3.1744 c=22.8918 alpha=90.00 beta=90.00 gamma=120.00
Space group P6_3/mmc (No. 194)
Asymmetric unit:
Ge (0.3333, 0.6667, 0.2500) x2
B (0.0000, 0.0000, 0.0000) x2
B (0.3333, 0.6667, 0.6134) x4
W (0.0000, 0.0000, 0.1644) x4
W (0.3333, 0.6667, 0.0582) x4